Record 1
This entry pairs a crystal structure of P2Rh2I with its theoretical powder diffractogram. Radiation: a wavelength of 1.5418 Å. Structure: a DFT-relaxed cell (PBE, Alexandria).
Intensities are scaled so that the largest is 100.

Atomic structure:
Cell: 3.8593 3.8593 16.6467 Å, 90.00 90.00 90.00°
Space group I4/mmm (No. 139)
Inequivalent atoms, fractional coordinates:
P: 0.0000 0.0000 0.1722 x4
Rh: 0.0000 0.5000 0.2500 x4
I: 0.0000 0.0000 0.5000 x2

Most intense lines, 2θ from 15° to 90°, most intense first:
d_spacing	two_theta	I_rel	hkl
2.593	34.6	100.0	1 1 2
4.162	21.4	92.7	0 0 4
1.946	46.7	72.2	1 1 6
3.168	28.2	66.9	1 0 3
1.930	47.1	35.4	2 0 0
1.751	52.3	32.8	2 0 4
3.760	23.7	26.4	1 0 1
1.117	87.3	24.1	3 1 6
1.648	55.8	18.2	2 1 3
1.208	79.4	17.6	3 1 2

---

Record 2
This entry pairs a crystal structure of YV2Fe10 with its theoretical powder diffractogram. Radiation: a wavelength of 1.5418 Å. Structure: a DFT-relaxed cell (PBE, Alexandria).
Intensities are scaled so that the largest is 100.

Atomic structure:
Cell: 4.6818 8.4215 8.4981 Å, 90.00 90.00 90.00°
Space group Immm (No. 71)
Inequivalent atoms, fractional coordinates:
Y: 0.0000 0.0000 0.0000 x2
V: 0.0000 0.0000 0.3590 x4
Fe: 0.0000 0.2745 0.5000 x4
Fe: 0.0000 0.3590 0.0000 x4
Fe: 0.0000 0.5000 0.2719 x4
Fe: 0.2500 0.2500 0.2500 x8

Most intense lines, 2θ from 15° to 90°, most intense first:
d_spacing	two_theta	I_rel	hkl
2.048	44.2	100.0	2 0 2
2.095	43.2	71.5	1 3 2
1.843	49.4	68.3	2 2 2
2.101	43.1	61.3	1 2 3
2.125	42.6	52.4	0 0 4
2.105	43.0	44.1	0 4 0
1.886	48.3	34.2	0 4 2
1.299	72.8	25.0	3 3 2
2.408	37.4	24.8	1 3 0
2.424	37.1	24.6	1 0 3

---

Record 3
This entry pairs a crystal structure of BeZnAsIr with its theoretical powder diffractogram. Radiation: a wavelength of 1.5418 Å. Structure: a DFT-relaxed cell (PBE, Alexandria).
Intensities are scaled so that the largest is 100.

Atomic structure:
Cell: 8.2770 2.9712 5.0146 Å, 90.00 93.76 90.00°
Space group Cm (No. 8)
Inequivalent atoms, fractional coordinates:
Be: 0.0000 0.0000 0.0000 x2
Zn: 0.2823 0.0000 0.0944 x2
As: 0.3772 0.5000 0.5798 x2
Ir: 0.0729 0.5000 0.3288 x2

Most intense lines, 2θ from 15° to 90°, most intense first:
d_spacing	two_theta	I_rel	hkl
5.004	17.7	100.0	0 0 1
2.464	36.5	99.8	1 1 -1
3.087	28.9	57.4	2 0 1
1.843	49.5	51.7	3 1 1
2.019	44.9	47.4	3 1 0
2.205	40.9	29.7	2 0 -2
2.080	43.5	28.7	2 0 2
1.885	48.3	26.1	1 1 -2
1.954	46.5	26.0	4 0 -1
2.796	32.0	25.1	1 1 0

---

Record 4
This entry pairs a crystal structure of SrIn4Pd2 with its theoretical powder diffractogram. Radiation: a wavelength of 1.5418 Å. Structure: a DFT-relaxed cell (PBE, Alexandria).
Intensities are scaled so that the largest is 100.

Atomic structure:
Cell: 18.8093 4.6724 7.3570 Å, 90.00 90.00 90.00°
Space group Pnma (No. 62)
Inequivalent atoms, fractional coordinates:
Sr: 0.1396 0.2500 0.0268 x4
In: 0.0345 0.7500 0.8436 x4
In: 0.0721 0.2500 0.4964 x4
In: 0.1854 0.7500 0.3292 x4
In: 0.1924 0.7500 0.7356 x4
Pd: 0.0385 0.7500 0.2528 x4
Pd: 0.2187 0.2500 0.5373 x4

Most intense lines, 2θ from 15° to 90°, most intense first:
d_spacing	two_theta	I_rel	hkl
2.763	32.4	100.0	2 1 2
2.722	32.9	58.2	5 1 1
2.336	38.5	57.1	0 2 0
2.125	42.5	35.8	6 1 2
2.603	34.5	26.7	6 1 0
2.524	35.6	26.5	7 0 1
2.116	42.7	18.6	2 1 3
2.857	31.3	18.2	1 1 2
1.506	61.6	16.6	9 1 3
1.714	53.4	16.1	7 2 1

---

Record 5
This entry pairs a crystal structure of Na4Tl2In2Sn with its theoretical powder diffractogram. Radiation: a wavelength of 1.5418 Å. Structure: a DFT-relaxed cell (PBE, Alexandria).
Intensities are scaled so that the largest is 100.

Atomic structure:
Cell: 6.0544 6.1436 7.7448 Å, 69.78 73.82 82.16°
Space group P-1 (No. 2)
Inequivalent atoms, fractional coordinates:
Na: 0.0911 0.1850 0.2812 x2
Na: 0.1867 0.2312 0.8209 x2
Tl: 0.2857 0.6006 0.3791 x2
In: 0.3290 0.6781 0.9219 x2
Sn: 0.5000 0.0000 0.5000 x1

Most intense lines, 2θ from 15° to 90°, most intense first:
d_spacing	two_theta	I_rel	hkl
2.547	35.2	100.0	2 -1 0
2.724	32.9	80.1	1 0 -2
2.576	34.8	70.9	1 -1 2
2.697	33.2	58.4	0 2 2
2.642	33.9	57.3	2 1 2
5.759	15.4	53.1	0 1 0
4.007	22.2	49.4	1 -1 0
2.627	34.1	48.3	1 2 0
5.809	15.3	48.1	1 0 0
3.406	26.2	45.6	1 0 2

---

Record 6
This entry pairs a crystal structure of DyGaIr2 with its theoretical powder diffractogram. Radiation: a wavelength of 1.5418 Å. Structure: a DFT-relaxed cell (PBE, Alexandria).
Intensities are scaled so that the largest is 100.

Atomic structure:
Cell: 4.3229 4.3229 3.6435 Å, 90.00 90.00 90.00°
Space group P4/mmm (No. 123)
Inequivalent atoms, fractional coordinates:
Dy: 0.0000 0.0000 0.0000 x1
Ga: 0.5000 0.5000 0.0000 x1
Ir: 0.0000 0.5000 0.5000 x2

Most intense lines, 2θ from 15° to 90°, most intense first:
d_spacing	two_theta	I_rel	hkl
2.342	38.4	100.0	1 1 1
2.161	41.8	39.6	2 0 0
1.280	74.1	29.5	3 1 1
1.393	67.2	19.5	2 0 2
1.528	60.6	13.3	2 2 0
1.822	50.1	11.8	0 0 2
1.171	82.4	11.3	2 2 2
1.129	86.2	10.2	1 1 3
3.057	29.2	5.7	1 1 0
4.323	20.5	4.9	1 0 0